[1]
Diffraction record for CoPt3Rh4. The PXRD pattern is computed, not measured: it uses a crystal structure in Alexandria, relaxed with GGA-PBE and Cu Ka.
Neutral-atom scattering factors, no anomalous dispersion.

Atomic structure:
abc: 4.1039 21.6024 2.7276
angles: 90.00 90.00 90.00
Fractional coordinates of all 16 atoms:
1 Co 0.0000 0.0000 0.0000
2 Co 0.5000 0.5000 0.0000
3 Pt 0.0000 0.3442 0.0000
4 Pt 0.0000 0.5000 0.5000
5 Pt 0.0000 0.6558 0.0000
6 Pt 0.5000 0.0000 0.5000
7 Pt 0.5000 0.1558 0.0000
8 Pt 0.5000 0.8442 0.0000
9 Rh 0.0000 0.0958 0.5000
10 Rh 0.0000 0.2156 0.5000
11 Rh 0.0000 0.7844 0.5000
12 Rh 0.0000 0.9042 0.5000
13 Rh 0.5000 0.2844 0.5000
14 Rh 0.5000 0.4042 0.5000
15 Rh 0.5000 0.5958 0.5000
16 Rh 0.5000 0.7156 0.5000

Largest 10 diffraction maxima, sorted by position, 5 to 70 degrees two-theta:
2θ/deg, intensity
24.73, 192
36.43, 655
36.92, 159
41.54, 170
41.69, 1000
43.69, 179
44.14, 367
54.16, 237
62.21, 101
68.84, 100

[2]
Diffraction record for NaSb2F11. The PXRD pattern is computed, not measured: it uses a crystal structure in Alexandria, relaxed with GGA-PBE and Cu Ka.
Neutral-atom scattering factors, no anomalous dispersion.

Atomic structure:
abc: 8.4446 8.4446 8.4446
angles: 113.70 113.12 101.86
Fractional coordinates of all 28 atoms:
1 Na 0.2500 0.2500 0.0000
2 Na 0.7500 0.7500 0.0000
3 Sb 0.1575 0.6601 0.8176
4 Sb 0.3425 0.1601 0.5025
5 Sb 0.6575 0.8399 0.4975
6 Sb 0.8425 0.3399 0.1824
7 F 0.0000 0.5000 0.5000
8 F 0.0758 0.3677 0.1900
9 F 0.1179 0.9255 0.2986
10 F 0.1269 0.4255 0.8076
11 F 0.1778 0.8858 0.8100
12 F 0.1987 0.3034 0.5021
13 F 0.3013 0.8034 0.1047
14 F 0.3222 0.1323 0.7081
15 F 0.3731 0.1807 0.2986
16 F 0.3821 0.6807 0.8076
17 F 0.4242 0.6142 0.2919
18 F 0.5000 0.0000 0.5000
19 F 0.5758 0.3858 0.7081
20 F 0.6179 0.3193 0.1924
21 F 0.6269 0.8193 0.7014
22 F 0.6778 0.8677 0.2919
23 F 0.6987 0.1966 0.8953
24 F 0.8013 0.6966 0.4979
25 F 0.8222 0.1142 0.1900
26 F 0.8731 0.5745 0.1924
27 F 0.8821 0.0745 0.7014
28 F 0.9242 0.6323 0.8100

Largest 10 diffraction maxima, sorted by position, 5 to 70 degrees two-theta:
2θ/deg, intensity
13.51, 95
16.66, 539
21.50, 230
23.02, 1000
25.54, 100
33.23, 167
41.32, 101
43.81, 143
44.84, 205
48.03, 124

[3]
Diffraction record for Pm5YSc3. The PXRD pattern is computed, not measured: it uses a crystal structure in Alexandria, relaxed with GGA-PBE and Cu Ka.
Neutral-atom scattering factors, no anomalous dispersion.

Atomic structure:
abc: 8.0438 8.0438 10.2285
angles: 102.05 102.05 90.10
Fractional coordinates of all 18 atoms:
1 Pm 0.2070 0.7217 0.6522
2 Pm 0.2455 0.7545 0.0000
3 Pm 0.2511 0.2511 0.0852
4 Pm 0.2615 0.2615 0.4190
5 Pm 0.2783 0.7930 0.3478
6 Pm 0.7217 0.2070 0.6522
7 Pm 0.7385 0.7385 0.5810
8 Pm 0.7489 0.7489 0.9148
9 Pm 0.7545 0.2455 0.0000
10 Pm 0.7930 0.2783 0.3478
11 Y 0.2471 0.2471 0.7467
12 Y 0.7529 0.7529 0.2533
13 Sc 0.0000 0.0000 0.5000
14 Sc 0.0025 0.0025 0.1661
15 Sc 0.4984 0.4984 0.3272
16 Sc 0.5000 0.5000 0.0000
17 Sc 0.5016 0.5016 0.6728
18 Sc 0.9975 0.9975 0.8339

Largest 10 diffraction maxima, sorted by position, 5 to 70 degrees two-theta:
2θ/deg, intensity
22.63, 1000
27.35, 235
31.43, 498
31.68, 388
31.91, 246
32.06, 304
33.00, 318
39.15, 178
39.26, 177
46.21, 242

[4]
Diffraction record for YThAg4. The PXRD pattern is computed, not measured: it uses a crystal structure in Alexandria, relaxed with GGA-PBE and Cu Ka.
Neutral-atom scattering factors, no anomalous dispersion.

Atomic structure:
abc: 5.3832 9.4916 5.3783
angles: 90.00 90.00 90.00
Fractional coordinates of all 12 atoms:
1 Y 0.0000 0.0000 0.0000
2 Y 0.5000 0.5000 0.0000
3 Th 0.0000 0.5000 0.5000
4 Th 0.5000 0.0000 0.5000
5 Ag 0.0000 0.1705 0.5000
6 Ag 0.0000 0.3244 0.0000
7 Ag 0.0000 0.6756 0.0000
8 Ag 0.0000 0.8295 0.5000
9 Ag 0.5000 0.1756 0.0000
10 Ag 0.5000 0.3295 0.5000
11 Ag 0.5000 0.6705 0.5000
12 Ag 0.5000 0.8244 0.0000

Largest 10 diffraction maxima, sorted by position, 5 to 70 degrees two-theta:
2θ/deg, intensity
16.48, 51
18.95, 67
25.22, 49
33.30, 672
36.95, 1000
47.81, 239
58.33, 62
61.92, 427
68.85, 150
69.93, 74

[5]
Diffraction record for PmHo2TmIn4. The PXRD pattern is computed, not measured: it uses a crystal structure in Alexandria, relaxed with GGA-PBE and Cu Ka.
Neutral-atom scattering factors, no anomalous dispersion.

Atomic structure:
abc: 9.2467 9.2467 9.2467
angles: 33.42 33.42 33.42
Fractional coordinates of all 8 atoms:
1 Pm 0.0000 0.0000 0.0000
2 Ho 0.2493 0.2493 0.2493
3 Ho 0.7507 0.7507 0.7507
4 Tm 0.5000 0.5000 0.5000
5 In 0.1265 0.1265 0.1265
6 In 0.3766 0.3766 0.3766
7 In 0.6234 0.6234 0.6234
8 In 0.8735 0.8735 0.8735

Largest 9 diffraction maxima, sorted by position, 5 to 70 degrees two-theta:
2θ/deg, intensity
23.63, 58
33.61, 1000
33.71, 995
41.58, 14
48.34, 358
54.42, 14
54.55, 14
60.03, 184
60.25, 551

[6]
Diffraction record for Tb7Sm3In2. The PXRD pattern is computed, not measured: it uses a crystal structure in Alexandria, relaxed with GGA-PBE and Cu Ka.
Neutral-atom scattering factors, no anomalous dispersion.

Atomic structure:
abc: 11.2167 11.2167 11.2167
angles: 34.22 34.22 34.22
Fractional coordinates of all 12 atoms:
1 Tb 0.0000 0.0000 0.0000
2 Tb 0.0806 0.0806 0.5788
3 Tb 0.0806 0.5788 0.0806
4 Tb 0.4212 0.9194 0.9194
5 Tb 0.5788 0.0806 0.0806
6 Tb 0.9194 0.4212 0.9194
7 Tb 0.9194 0.9194 0.4212
8 Sm 0.3568 0.3568 0.3568
9 Sm 0.5000 0.5000 0.5000
10 Sm 0.6432 0.6432 0.6432
11 In 0.1663 0.1663 0.1663
12 In 0.8337 0.8337 0.8337

Largest 10 diffraction maxima, sorted by position, 5 to 70 degrees two-theta:
2θ/deg, intensity
27.02, 197
27.42, 230
31.43, 379
31.82, 184
31.99, 1000
33.99, 254
34.43, 341
50.96, 269
55.70, 303
66.88, 213

[7]
Diffraction record for FeCo5. The PXRD pattern is computed, not measured: it uses a crystal structure in Alexandria, relaxed with GGA-PBE and Cu Ka.
Neutral-atom scattering factors, no anomalous dispersion.

Atomic structure:
abc: 4.0709 2.4870 13.0093
angles: 90.00 90.00 90.00
Fractional coordinates of all 12 atoms:
1 Fe 0.0000 0.0000 0.0000
2 Fe 0.0000 0.5000 0.5000
3 Co 0.0000 0.0000 0.3322
4 Co 0.0000 0.0000 0.6683
5 Co 0.0000 0.5000 0.1683
6 Co 0.0000 0.5000 0.8322
7 Co 0.5000 0.0000 0.2224
8 Co 0.5000 0.0000 0.5579
9 Co 0.5000 0.0000 0.8892
10 Co 0.5000 0.5000 0.0579
11 Co 0.5000 0.5000 0.3892
12 Co 0.5000 0.5000 0.7224

Largest 7 diffraction maxima, sorted by position, 5 to 70 degrees two-theta:
2θ/deg, intensity
41.65, 121
41.87, 259
44.51, 418
47.51, 519
47.71, 1000
62.60, 66
62.76, 141

[8]
Diffraction record for Ba2Zn6RhAu. The PXRD pattern is computed, not measured: it uses a crystal structure in Alexandria, relaxed with GGA-PBE and Cu Ka.
Neutral-atom scattering factors, no anomalous dispersion.

Atomic structure:
abc: 7.0283 7.0283 7.0283
angles: 120.11 119.90 90.00
Fractional coordinates of all 10 atoms:
1 Ba 0.2500 0.2500 0.0000
2 Ba 0.7500 0.7500 0.0000
3 Zn 0.2552 0.2450 0.5002
4 Zn 0.2552 0.7550 0.0102
5 Zn 0.2552 0.7552 0.5000
6 Zn 0.7448 0.2448 0.5000
7 Zn 0.7448 0.2450 0.9898
8 Zn 0.7448 0.7550 0.4998
9 Rh 0.5000 0.0000 0.5000
10 Au 0.0000 0.5000 0.5000

Largest 10 diffraction maxima, sorted by position, 5 to 70 degrees two-theta:
2θ/deg, intensity
17.85, 194
25.35, 911
31.17, 304
36.15, 1000
44.66, 399
52.03, 574
52.14, 114
58.74, 152
64.93, 116
65.08, 115

[9]
Diffraction record for Sm2Zn2Pt5Au. The PXRD pattern is computed, not measured: it uses a crystal structure in Alexandria, relaxed with GGA-PBE and Cu Ka.
Neutral-atom scattering factors, no anomalous dispersion.

Atomic structure:
abc: 9.6220 9.6220 3.8947
angles: 90.00 90.00 90.00
Fractional coordinates of all 20 atoms:
1 Sm 0.1787 0.3213 0.0000
2 Sm 0.3213 0.8213 0.0000
3 Sm 0.6787 0.1787 0.0000
4 Sm 0.8213 0.6787 0.0000
5 Zn 0.1197 0.6197 0.0000
6 Zn 0.3803 0.1197 0.0000
7 Zn 0.6197 0.8803 0.0000
8 Zn 0.8803 0.3803 0.0000
9 Pt 0.0000 0.5000 0.5000
10 Pt 0.0654 0.7928 0.5000
11 Pt 0.2072 0.0654 0.5000
12 Pt 0.2928 0.5654 0.5000
13 Pt 0.4346 0.2928 0.5000
14 Pt 0.5000 0.0000 0.5000
15 Pt 0.5654 0.7072 0.5000
16 Pt 0.7072 0.4346 0.5000
17 Pt 0.7928 0.9346 0.5000
18 Pt 0.9346 0.2072 0.5000
19 Au 0.0000 0.0000 0.0000
20 Au 0.5000 0.5000 0.0000

Largest 10 diffraction maxima, sorted by position, 5 to 70 degrees two-theta:
2θ/deg, intensity
30.97, 240
35.02, 306
37.51, 1000
38.58, 436
41.00, 357
41.99, 185
46.64, 269
62.08, 219
64.55, 105
66.72, 97

[10]
Diffraction record for La6PrEr5. The PXRD pattern is computed, not measured: it uses a crystal structure in Alexandria, relaxed with GGA-PBE and Cu Ka.
Neutral-atom scattering factors, no anomalous dispersion.

Atomic structure:
abc: 9.6765 9.6765 9.6765
angles: 148.65 117.86 71.25
Fractional coordinates of all 12 atoms:
1 La 0.0812 0.3329 0.7483
2 La 0.2462 0.0000 0.2462
3 La 0.4154 0.6671 0.7483
4 La 0.5846 0.3329 0.2517
5 La 0.7538 0.0000 0.7538
6 La 0.9188 0.6671 0.2517
7 Pr 0.5000 0.5000 0.0000
8 Er 0.0000 0.5000 0.5000
9 Er 0.1675 0.1675 0.0000
10 Er 0.3325 0.8325 0.5000
11 Er 0.6675 0.1675 0.5000
12 Er 0.8325 0.8325 0.0000

Largest 10 diffraction maxima, sorted by position, 5 to 70 degrees two-theta:
2θ/deg, intensity
30.05, 1000
34.25, 354
35.97, 155
49.22, 127
50.48, 118
50.55, 118
58.68, 150
58.81, 149
61.03, 133
62.45, 124

[11]
Diffraction record for Li7Cd2Rh. The PXRD pattern is computed, not measured: it uses a crystal structure in Alexandria, relaxed with GGA-PBE and Cu Ka.
Neutral-atom scattering factors, no anomalous dispersion.

Atomic structure:
abc: 4.4734 4.4734 10.0218
angles: 90.00 90.00 120.00
Fractional coordinates of all 10 atoms:
1 Li 0.0000 0.0000 0.0000
2 Li 0.0000 0.0000 0.2200
3 Li 0.0000 0.0000 0.4640
4 Li 0.3333 0.6667 0.0123
5 Li 0.3333 0.6667 0.6110
6 Li 0.6667 0.3333 0.4077
7 Li 0.6667 0.3333 0.8594
8 Cd 0.0000 0.0000 0.7340
9 Cd 0.3333 0.6667 0.2862
10 Rh 0.6667 0.3333 0.1414

Largest 10 diffraction maxima, sorted by position, 5 to 70 degrees two-theta:
2θ/deg, intensity
8.82, 273
17.70, 416
24.64, 1000
29.14, 282
35.48, 453
40.32, 378
42.99, 281
44.35, 232
47.83, 161
60.38, 169

Repeat the first record exactly.
Diffraction record for CoPt3Rh4. The PXRD pattern is computed, not measured: it uses a crystal structure in Alexandria, relaxed with GGA-PBE and Cu Ka.
Neutral-atom scattering factors, no anomalous dispersion.

Atomic structure:
abc: 4.1039 21.6024 2.7276
angles: 90.00 90.00 90.00
Fractional coordinates of all 16 atoms:
1 Co 0.0000 0.0000 0.0000
2 Co 0.5000 0.5000 0.0000
3 Pt 0.0000 0.3442 0.0000
4 Pt 0.0000 0.5000 0.5000
5 Pt 0.0000 0.6558 0.0000
6 Pt 0.5000 0.0000 0.5000
7 Pt 0.5000 0.1558 0.0000
8 Pt 0.5000 0.8442 0.0000
9 Rh 0.0000 0.0958 0.5000
10 Rh 0.0000 0.2156 0.5000
11 Rh 0.0000 0.7844 0.5000
12 Rh 0.0000 0.9042 0.5000
13 Rh 0.5000 0.2844 0.5000
14 Rh 0.5000 0.4042 0.5000
15 Rh 0.5000 0.5958 0.5000
16 Rh 0.5000 0.7156 0.5000

Largest 10 diffraction maxima, sorted by position, 5 to 70 degrees two-theta:
2θ/deg, intensity
24.73, 192
36.43, 655
36.92, 159
41.54, 170
41.69, 1000
43.69, 179
44.14, 367
54.16, 237
62.21, 101
68.84, 100